No. 1
Starting from a crystal structure in Alexandria, relaxed with GGA-PBE, the powder diffraction line list of Fe8Co was computed for a wavelength of 1.5418 Å.
Neutral-atom scattering factors, no anomalous dispersion.

Unit cell a=6.2135 b=6.2135 c=6.2135 alpha=92.98 beta=92.98 gamma=153.65
Fractional positions:
Fe1 0.0000 0.3338 0.3338
Fe2 0.0000 0.6662 0.6662
Fe3 0.3338 0.0000 0.3338
Fe4 0.3344 0.3344 0.6688
Fe5 0.3344 0.6656 0.0000
Fe6 0.6662 0.0000 0.6662
Fe7 0.6656 0.3344 0.0000
Fe8 0.6656 0.6656 0.3312
Co1 0.0000 0.0000 0.0000

Top 6 peaks for 10° ≤ 2θ ≤ 90°, by intensity:
- 45.11 deg, intensity 100.0
- 44.95 deg, intensity 50.6
- 83.04 deg, intensity 28.7
- 65.45 deg, intensity 14.8
- 83.38 deg, intensity 14.2
- 65.95 deg, intensity 7.2

=====

No. 2
Starting from a crystal structure in Alexandria, relaxed with GGA-PBE, the powder diffraction line list of Fe3Co2 was computed for a wavelength of 1.5418 Å.
Neutral-atom scattering factors, no anomalous dispersion.

Unit cell a=2.8387 b=2.8387 c=14.2879 alpha=90.00 beta=90.00 gamma=90.00
Fractional positions:
Fe1 0.0000 0.0000 0.0000
Fe2 0.0000 0.0000 0.1992
Fe3 0.0000 0.0000 0.8008
Fe4 0.5000 0.5000 0.3008
Fe5 0.5000 0.5000 0.5000
Fe6 0.5000 0.5000 0.6992
Co1 0.0000 0.0000 0.4007
Co2 0.0000 0.0000 0.5993
Co3 0.5000 0.5000 0.0993
Co4 0.5000 0.5000 0.9007

Top 6 peaks for 10° ≤ 2θ ≤ 90°, by intensity:
- 45.01 deg, intensity 100.0
- 45.17 deg, intensity 49.5
- 83.29 deg, intensity 28.4
- 65.80 deg, intensity 14.5
- 82.95 deg, intensity 14.3
- 65.31 deg, intensity 7.4

=====

No. 3
Starting from a crystal structure in Alexandria, relaxed with GGA-PBE, the powder diffraction line list of Fe5Co3 was computed for a wavelength of 1.5418 Å.
Neutral-atom scattering factors, no anomalous dispersion.

Unit cell a=4.0256 b=4.0256 c=11.3841 alpha=90.00 beta=90.00 gamma=90.00
Fractional positions:
Fe1 0.0000 0.0000 0.0000
Fe2 0.0000 0.5000 0.1251
Fe3 0.0000 0.5000 0.3749
Fe4 0.0000 0.5000 0.6251
Fe5 0.0000 0.5000 0.8749
Fe6 0.5000 0.0000 0.1251
Fe7 0.5000 0.0000 0.3749
Fe8 0.5000 0.0000 0.6251
Fe9 0.5000 0.0000 0.8749
Fe10 0.5000 0.5000 0.5000
Co1 0.0000 0.0000 0.2503
Co2 0.0000 0.0000 0.5000
Co3 0.0000 0.0000 0.7497
Co4 0.5000 0.5000 0.0000
Co5 0.5000 0.5000 0.2497
Co6 0.5000 0.5000 0.7503

Top 3 peaks for 10° ≤ 2θ ≤ 90°, by intensity:
- 45.04 deg, intensity 100.0
- 83.12 deg, intensity 28.6
- 65.60 deg, intensity 14.7

=====

No. 4
Starting from a crystal structure in Alexandria, relaxed with GGA-PBE, the powder diffraction line list of Fe5Co3 was computed for a wavelength of 1.5418 Å.
Neutral-atom scattering factors, no anomalous dispersion.

Unit cell a=6.9738 b=6.9738 c=6.9738 alpha=33.54 beta=33.54 gamma=33.54
Fractional positions:
Fe1 0.0000 0.0000 0.0000
Fe2 0.1249 0.1249 0.1249
Fe3 0.3750 0.3750 0.3750
Fe4 0.6250 0.6250 0.6250
Fe5 0.8751 0.8751 0.8751
Co1 0.2496 0.2496 0.2496
Co2 0.5000 0.5000 0.5000
Co3 0.7504 0.7504 0.7504

Top 3 peaks for 10° ≤ 2θ ≤ 90°, by intensity:
- 45.05 deg, intensity 100.0
- 83.13 deg, intensity 28.6
- 65.60 deg, intensity 14.7

=====

No. 5
Starting from a crystal structure in Alexandria, relaxed with GGA-PBE, the powder diffraction line list of Fe5Co3 was computed for a wavelength of 1.5418 Å.
Neutral-atom scattering factors, no anomalous dispersion.

Unit cell a=2.4661 b=8.0284 c=4.7154 alpha=90.00 beta=100.03 gamma=90.00
Fractional positions:
Fe1 0.0000 0.0000 0.0000
Fe2 0.0000 0.4938 0.0000
Fe3 0.2537 0.7478 0.7505
Fe4 0.5000 0.4955 0.5000
Fe5 0.7463 0.7478 0.2495
Co1 0.2428 0.2464 0.7488
Co2 0.5000 0.9965 0.5000
Co3 0.7572 0.2464 0.2512

Top 6 peaks for 10° ≤ 2θ ≤ 90°, by intensity:
- 45.08 deg, intensity 100.0
- 45.18 deg, intensity 19.8
- 65.68 deg, intensity 17.6
- 83.23 deg, intensity 14.3
- 83.35 deg, intensity 11.4
- 83.11 deg, intensity 8.6

=====

No. 6
Starting from a crystal structure in Alexandria, relaxed with GGA-PBE, the powder diffraction line list of Fe5Co3 was computed for a wavelength of 1.5418 Å.
Neutral-atom scattering factors, no anomalous dispersion.

Unit cell a=5.7015 b=5.7015 c=2.8422 alpha=90.00 beta=90.00 gamma=90.00
Fractional positions:
Fe1 0.0000 0.0000 0.0000
Fe2 0.2505 0.2505 0.5000
Fe3 0.2505 0.7495 0.5000
Fe4 0.7495 0.2505 0.5000
Fe5 0.7495 0.7495 0.5000
Co1 0.0000 0.5000 0.0000
Co2 0.5000 0.0000 0.0000
Co3 0.5000 0.5000 0.0000

Top 5 peaks for 10° ≤ 2θ ≤ 90°, by intensity:
- 45.02 deg, intensity 100.0
- 83.02 deg, intensity 19.1
- 65.48 deg, intensity 9.8
- 83.17 deg, intensity 9.5
- 65.70 deg, intensity 4.9

=====

No. 7
Starting from a crystal structure in Alexandria, relaxed with GGA-PBE, the powder diffraction line list of Fe3Co2 was computed for a wavelength of 1.5418 Å.
Neutral-atom scattering factors, no anomalous dispersion.

Unit cell a=7.3267 b=6.4964 c=4.7325 alpha=79.77 beta=60.76 gamma=39.47
Fractional positions:
Fe1 0.0229 0.0229 0.2271
Fe2 0.2271 0.2271 0.0229
Fe3 0.3750 0.3750 0.3750
Fe4 0.6250 0.6250 0.6250
Fe5 0.7729 0.7729 0.9771
Fe6 0.9771 0.9771 0.7729
Co1 0.1745 0.1745 0.5755
Co2 0.4245 0.4245 0.8255
Co3 0.5755 0.5755 0.1745
Co4 0.8255 0.8255 0.4245

Top 9 peaks for 10° ≤ 2θ ≤ 90°, by intensity:
- 43.46 deg, intensity 100.0
- 44.59 deg, intensity 92.5
- 54.16 deg, intensity 49.6
- 44.00 deg, intensity 48.2
- 81.35 deg, intensity 27.2
- 72.26 deg, intensity 19.3
- 73.12 deg, intensity 18.6
- 83.05 deg, intensity 12.8
- 82.58 deg, intensity 6.5

=====

No. 8
Starting from a crystal structure in Alexandria, relaxed with GGA-PBE, the powder diffraction line list of FeCo4 was computed for a wavelength of 1.5418 Å.
Neutral-atom scattering factors, no anomalous dispersion.

Unit cell a=11.5403 b=4.0156 c=2.4563 alpha=90.00 beta=100.52 gamma=90.00
Fractional positions:
Fe1 0.0000 0.0000 0.0000
Fe2 0.5000 0.5000 0.0000
Co1 0.1028 0.5000 0.3977
Co2 0.1995 0.0000 0.8727
Co3 0.3005 0.5000 0.1273
Co4 0.3972 0.0000 0.6023
Co5 0.6028 0.0000 0.3977
Co6 0.6995 0.5000 0.8727
Co7 0.8005 0.0000 0.1273
Co8 0.8972 0.5000 0.6023

Top 10 peaks for 10° ≤ 2θ ≤ 90°, by intensity:
- 45.94 deg, intensity 100.0
- 45.78 deg, intensity 93.3
- 45.16 deg, intensity 52.9
- 44.62 deg, intensity 50.1
- 65.36 deg, intensity 29.0
- 83.93 deg, intensity 14.9
- 83.82 deg, intensity 13.8
- 83.27 deg, intensity 13.7
- 85.76 deg, intensity 13.1
- 68.36 deg, intensity 12.7

=====

No. 9
Starting from a crystal structure in Alexandria, relaxed with GGA-PBE, the powder diffraction line list of Fe4Co3 was computed for a wavelength of 1.5418 Å.
Neutral-atom scattering factors, no anomalous dispersion.

Unit cell a=6.1696 b=6.1696 c=6.1696 alpha=118.22 beta=118.22 gamma=118.22
Fractional positions:
Fe1 0.0000 0.0000 0.0000
Fe2 0.1499 0.2917 0.5786
Fe3 0.2917 0.5786 0.1499
Fe4 0.5786 0.1499 0.2917
Co1 0.4342 0.8621 0.7203
Co2 0.7203 0.4342 0.8621
Co3 0.8621 0.7203 0.4342

Top 6 peaks for 10° ≤ 2θ ≤ 90°, by intensity:
- 44.80 deg, intensity 100.0
- 45.32 deg, intensity 96.5
- 65.63 deg, intensity 28.9
- 83.35 deg, intensity 28.0
- 82.25 deg, intensity 14.5
- 83.71 deg, intensity 13.8

=====

No. 10
Starting from a crystal structure in Alexandria, relaxed with GGA-PBE, the powder diffraction line list of Fe4Co3 was computed for a wavelength of 1.5418 Å.
Neutral-atom scattering factors, no anomalous dispersion.

Unit cell a=14.1652 b=14.0933 c=2.4624 alpha=86.67 beta=83.34 gamma=9.99
Fractional positions:
Fe1 0.0000 0.0000 0.0000
Fe2 0.1425 0.1425 0.8575
Fe3 0.2876 0.2876 0.7124
Fe4 0.7150 0.7150 0.2850
Co1 0.4294 0.4294 0.5706
Co2 0.5712 0.5712 0.4288
Co3 0.8584 0.8584 0.1416

Top 6 peaks for 10° ≤ 2θ ≤ 90°, by intensity:
- 45.16 deg, intensity 100.0
- 45.06 deg, intensity 25.2
- 45.27 deg, intensity 24.7
- 65.78 deg, intensity 22.0
- 83.26 deg, intensity 21.6
- 83.51 deg, intensity 21.3

=====

No. 11
Starting from a crystal structure in Alexandria, relaxed with GGA-PBE, the powder diffraction line list of Fe5Co6 was computed for a wavelength of 1.5418 Å.
Neutral-atom scattering factors, no anomalous dispersion.

Unit cell a=6.2930 b=6.2930 c=5.5285 alpha=90.00 beta=90.00 gamma=143.01
Fractional positions:
Fe1 0.0000 0.0000 0.0000
Fe2 0.3335 0.6665 0.5000
Fe3 0.3339 0.6661 0.0000
Fe4 0.6661 0.3339 0.0000
Fe5 0.6665 0.3335 0.5000
Co1 0.1649 0.8351 0.2530
Co2 0.1649 0.8351 0.7470
Co3 0.5000 0.5000 0.2606
Co4 0.5000 0.5000 0.7394
Co5 0.8351 0.1649 0.2530
Co6 0.8351 0.1649 0.7470

Top 10 peaks for 10° ≤ 2θ ≤ 90°, by intensity:
- 45.99 deg, intensity 100.0
- 45.43 deg, intensity 26.1
- 45.60 deg, intensity 25.7
- 66.33 deg, intensity 15.2
- 84.36 deg, intensity 14.7
- 84.60 deg, intensity 14.7
- 85.44 deg, intensity 7.1
- 85.56 deg, intensity 7.0
- 67.80 deg, intensity 7.0
- 28.57 deg, intensity 3.7

=====

No. 12
Starting from a crystal structure in Alexandria, relaxed with GGA-PBE, the powder diffraction line list of FeCo was computed for a wavelength of 1.5418 Å.
Neutral-atom scattering factors, no anomalous dispersion.

Unit cell a=5.7183 b=8.0279 c=3.9938 alpha=90.00 beta=90.00 gamma=90.00
Fractional positions:
Fe1 0.1266 0.1252 0.0000
Fe2 0.1266 0.8748 0.5000
Fe3 0.3734 0.3748 0.0000
Fe4 0.3734 0.6252 0.5000
Fe5 0.6266 0.3748 0.5000
Fe6 0.6266 0.6252 0.0000
Fe7 0.8734 0.1252 0.5000
Fe8 0.8734 0.8748 0.0000
Co1 0.1269 0.3767 0.5000
Co2 0.1269 0.6233 0.0000
Co3 0.3731 0.1233 0.5000
Co4 0.3731 0.8767 0.0000
Co5 0.6269 0.1233 0.0000
Co6 0.6269 0.8767 0.5000
Co7 0.8731 0.3767 0.0000
Co8 0.8731 0.6233 0.5000

Top 9 peaks for 10° ≤ 2θ ≤ 90°, by intensity:
- 45.07 deg, intensity 100.0
- 45.18 deg, intensity 24.8
- 45.42 deg, intensity 24.4
- 65.99 deg, intensity 14.4
- 83.33 deg, intensity 14.2
- 83.68 deg, intensity 14.1
- 65.27 deg, intensity 7.5
- 82.92 deg, intensity 7.2
- 83.09 deg, intensity 7.2